NaNdSe2O10: computed XRD peak list (λ = 1.5418 Å (Cu Kα)), based on a DFT-relaxed cell (PBE, the Materials Project).
Kinematic intensities with the Lorentz-polarization factor, no thermal factor.

Largest 12 diffraction maxima, in order of rising 2θ, 2θ = 10–90°:
two_theta, I (rel.), index
14.86, 52, 1 1 0
15.55, 42, 1 1 -1
15.98, 79, 1 0 -2
16.90, 51, 0 0 2
24.91, 52, 3 0 -2
26.49, 100, 1 2 -1
26.63, 42, 3 1 -1
27.84, 38, 3 1 -2
30.51, 55, 2 1 2
31.95, 31, 3 1 1
32.12, 44, 1 0 -4
34.53, 30, 1 2 -3

Structural model:
```
NaNdSe2O10
1.0
11.335 0.000 0.000
0.000 7.221 0.000
-3.966 0.000 10.494
Na Nd Se O
4 4 8 40
direct
0.130 0.144 0.464
0.130 0.356 0.964
0.870 0.644 0.036
0.870 0.856 0.536
0.251 0.614 0.666
0.251 0.886 0.166
0.749 0.114 0.834
0.749 0.386 0.334
0.053 0.654 0.359
0.053 0.846 0.859
0.394 0.128 0.721
0.394 0.372 0.221
0.606 0.628 0.779
0.606 0.872 0.279
0.947 0.154 0.141
0.947 0.346 0.641
0.071 0.678 0.968
0.071 0.822 0.468
0.100 0.105 0.215
0.100 0.395 0.715
0.110 0.706 0.246
0.110 0.794 0.746
0.130 0.024 0.949
0.130 0.476 0.449
0.298 0.036 0.381
0.298 0.464 0.881
0.307 0.562 0.163
0.307 0.938 0.663
0.310 0.200 0.131
0.310 0.300 0.631
0.379 0.705 0.524
0.379 0.795 0.024
0.415 0.163 0.877
0.415 0.337 0.377
0.468 0.608 0.800
0.468 0.892 0.300
0.532 0.108 0.700
0.532 0.392 0.200
0.585 0.663 0.623
0.585 0.837 0.123
0.621 0.205 0.976
0.621 0.295 0.476
0.690 0.700 0.369
0.690 0.800 0.869
0.693 0.062 0.337
0.693 0.438 0.837
0.702 0.536 0.119
0.702 0.964 0.619
0.870 0.524 0.551
0.870 0.976 0.051
0.890 0.206 0.254
0.890 0.294 0.754
0.900 0.605 0.285
0.900 0.895 0.785
0.929 0.178 0.532
0.929 0.322 0.032
```